The following is a calculated powder X-ray diffraction pattern of V4OF11. It was derived from a DFT-relaxed cell (GGA+U, Alexandria), using Cu Kα (weighted mean of Kα1 and Kα2).
No peak broadening, texture or thermal motion is included.

Largest 12 diffraction maxima, in order of rising 2θ, 2θ from 10° to 90°:
| (hkl) | two_theta | Rel. int. |
| --- | --- | --- |
| 1 -1 0 | 23.5 | 1000 |
| 0 0 2 | 23.7 | 514 |
| 1 1 -2 | 32.9 | 223 |
| 2 1 -1 | 39.5 | 106 |
| 1 2 1 | 39.7 | 102 |
| 1 0 -3 | 39.8 | 92 |
| 2 -2 0 | 48.0 | 212 |
| 0 0 4 | 48.4 | 101 |
| 1 -3 0 | 53.3 | 187 |
| 1 1 -4 | 53.5 | 71 |
| 3 -1 0 | 54.8 | 69 |
| 2 -2 4 | 68.9 | 86 |

Crystal structure
Unit cell a=5.280 b=5.460 c=7.529 alpha=93.24 beta=90.11 gamma=90.04
Fractional coordinates of all 16 atoms:
V 0.000 0.000 0.000
V 0.002 0.001 0.498
V 0.491 0.500 0.976
V 0.501 0.501 0.497
O 0.423 0.499 0.757
F 0.105 0.002 0.749
F 0.195 0.698 0.451
F 0.199 0.306 0.048
F 0.301 0.801 0.050
F 0.307 0.199 0.447
F 0.584 0.502 0.237
F 0.697 0.802 0.548
F 0.698 0.197 0.951
F 0.805 0.693 0.954
F 0.809 0.305 0.542
F 0.895 0.999 0.250